# Li2V2P3O12
Simulated PXRD pattern, Cu Kα. Input: a crystal structure in Alexandria, relaxed with GGA+U.
No peak broadening, texture or thermal motion is included.

Largest 10 diffraction maxima, low angle first, 2θ from 5° to 70°:
h k l, d (Å), I/Imax
1 0 1, 6.169, 49
1 0 -1, 4.347, 81
2 1 1, 4.320, 37
-1 1 1, 3.730, 69
1 2 2, 3.702, 32
1 2 0, 3.687, 100
2 0 2, 3.085, 59
2 2 0, 3.044, 19
-1 1 2, 2.759, 17
2 1 3, 2.749, 17

Crystal structure
Unit cell a=8.6300 b=8.6512 c=8.6856 alpha=60.22 beta=60.29 gamma=60.96
Space group P-1 (No. 2)
Asymmetric unit:
Li1 0.1718 0.3126 0.0603
Li2 0.2786 0.1703 0.5730
V1 0.1375 0.6338 0.5776
V2 0.3668 0.8599 0.9252
P1 0.0309 0.9687 0.7513
P2 0.2587 0.4575 0.2504
P3 0.4560 0.2518 0.7563
O1 0.0259 0.1479 0.5768
O2 0.0357 0.7960 0.7373
O3 0.0980 0.4514 0.2239
O4 0.1479 0.9983 0.0756
O5 0.2020 0.4580 0.4494
O6 0.2137 0.9283 0.7775
O7 0.2709 0.4196 0.7618
O8 0.3233 0.6241 0.0918
O9 0.3687 0.7095 0.4023
O10 0.4218 0.2663 0.2496
O11 0.4242 0.0957 0.7418
O12 0.4627 0.1868 0.9574